# BeCrF4
Computed X-ray diffraction stick pattern, Cu Ka. Input: a GGA+U-relaxed structure.
Peak positions follow from Bragg's law for the DFT cell and can differ from measured ones.

Structure:
Lattice parameters (Å, degrees): 4.449 4.731 4.763 107.70 109.77 104.49
Space group P1 (No. 1)
Inequivalent atoms, fractional coordinates:
Be1 0.000 0.000 0.000 [1 per cell]
Cr1 0.260 0.530 0.547 [1 per cell]
F1 0.058 0.691 0.851 [1 per cell]
F2 0.317 0.327 0.134 [1 per cell]
F3 0.644 0.964 0.746 [1 per cell]
F4 0.971 0.049 0.335 [1 per cell]

Peak list (10 most intense, 2θ = 15–90°, in order of rising 2θ)
- 2θ 21.92, rel. 24, hkl 0 0 1
- 2θ 23.11, rel. 67, hkl 1 0 0
- 2θ 23.25, rel. 100, hkl 0 1 -1
- 2θ 23.67, rel. 29, hkl 1 0 -1
- 2θ 24.60, rel. 68, hkl 1 -1 0
- 2θ 34.02, rel. 78, hkl 1 -1 1
- 2θ 37.65, rel. 42, hkl 1 1 0
- 2θ 39.88, rel. 45, hkl 1 0 -2
- 2θ 43.00, rel. 23, hkl -2 1 1
- 2θ 50.05, rel. 23, hkl 1 2 -1